Ta6IrPt: simulated powder XRD pattern (Cu Ka), based on a DFT-relaxed cell (PBE, OQMD).

Peak list (10 most intense, 15° ≤ 2θ ≤ 90°, low angle first)
2theta	I_rel
34.7	36
38.9	100
42.8	82
62.1	8
65.0	23
67.7	43
73.1	17
83.5	12
86.1	21
88.6	11

Structure:
Cell: 5.1752 5.1752 5.1752 Å, 90.00 90.00 90.00°
Fractional positions:
Ta 0.0000 0.2490 0.5000
Ta 0.0000 0.7510 0.5000
Ta 0.2490 0.5000 0.0000
Ta 0.5000 0.0000 0.2490
Ta 0.5000 0.0000 0.7510
Ta 0.7510 0.5000 0.0000
Ir 0.0000 0.0000 0.0000
Pt 0.5000 0.5000 0.5000



Ta3IrPt2: simulated powder XRD pattern (Cu Ka), based on a DFT-relaxed cell (PBE, OQMD).

Peak list (12 most intense, 15° ≤ 2θ ≤ 90°, low angle first)
2theta	I_rel
37.0	27
38.6	39
38.8	90
38.9	86
41.4	45
41.5	100
45.0	26
45.1	61
65.4	37
65.7	27
78.8	44
79.1	40

Structure:
Cell: 13.8943 2.8418 4.9506 Å, 90.00 90.00 90.00°
Fractional positions:
Ta 0.0860 0.0000 0.1583
Ta 0.2500 0.0000 0.5119
Ta 0.4140 0.0000 0.1583
Ta 0.5860 0.0000 0.8417
Ta 0.7500 0.0000 0.4881
Ta 0.9140 0.0000 0.8417
Ir 0.2500 0.5000 0.0112
Ir 0.7500 0.5000 0.9888
Pt 0.0824 0.5000 0.6609
Pt 0.4176 0.5000 0.6609
Pt 0.5824 0.5000 0.3391
Pt 0.9176 0.5000 0.3391



Tm3Zn3Ir2Pt: simulated powder XRD pattern (Cu Ka), based on a DFT-relaxed cell (PBE, OQMD).

Peak list (12 most intense, 15° ≤ 2θ ≤ 90°, low angle first)
2theta	I_rel
25.0	28
27.3	16
34.3	76
37.3	100
38.6	23
44.0	43
45.4	35
47.2	25
59.0	14
66.5	25
70.9	29
81.9	13

Structure:
Cell: 7.1294 7.1294 3.8509 Å, 90.00 90.00 120.00°
Fractional positions:
Tm 0.0000 0.4076 0.0000
Tm 0.4076 0.0000 0.0000
Tm 0.5924 0.5924 0.0000
Zn 0.0000 0.7448 0.5000
Zn 0.2552 0.2552 0.5000
Zn 0.7448 0.0000 0.5000
Ir 0.3333 0.6667 0.5000
Ir 0.6667 0.3333 0.5000
Pt 0.0000 0.0000 0.0000



Zn6IrPt: simulated powder XRD pattern (Cu Ka), based on a DFT-relaxed cell (PBE, OQMD).

Peak list (12 most intense, 15° ≤ 2θ ≤ 90°, low angle first)
2theta	I_rel
24.7	23
26.4	24
27.5	15
38.3	26
41.5	40
42.5	56
43.8	100
57.7	16
67.4	18
77.2	18
82.3	20
85.6	14

Structure:
Cell: 4.3566 5.3652 4.8700 Å, 90.00 90.00 90.00°
Fractional positions:
Zn 0.0000 0.0000 0.0000
Zn 0.0000 0.2522 0.5297
Zn 0.0000 0.7478 0.5297
Zn 0.5000 0.2413 0.2051
Zn 0.5000 0.5000 0.7236
Zn 0.5000 0.7587 0.2051
Ir 0.5000 0.0000 0.6925
Pt 0.0000 0.5000 0.0425



RbIr8: simulated powder XRD pattern (Cu Ka), based on a DFT-relaxed cell (PBE, OQMD).

Peak list (12 most intense, 15° ≤ 2θ ≤ 90°, low angle first)
2theta	I_rel
17.8	25
25.4	15
31.3	28
36.7	24
39.7	18
42.0	100
42.9	22
44.0	16
45.0	30
45.3	17
63.9	17
81.0	15

Structure:
Cell: 12.7970 12.4981 5.2908 Å, 81.11 74.78 24.11°
Fractional positions:
Rb 0.1250 0.1250 0.1250
Rb 0.8750 0.8750 0.8750
Ir 0.0974 0.5613 0.3634
Ir 0.1783 0.3224 0.7735
Ir 0.2257 0.7735 0.3224
Ir 0.2265 0.7743 0.8217
Ir 0.3224 0.1783 0.2257
Ir 0.3634 0.4779 0.0974
Ir 0.4387 0.9026 0.5221
Ir 0.4779 0.3634 0.5613
Ir 0.5221 0.6366 0.4387
Ir 0.5613 0.0974 0.4779
Ir 0.6366 0.5221 0.9026
Ir 0.6776 0.8217 0.7743
Ir 0.7735 0.2257 0.1783
Ir 0.7743 0.2265 0.6776
Ir 0.8217 0.6776 0.2265
Ir 0.9026 0.4387 0.6366



RbTlSb2Ir: simulated powder XRD pattern (Cu Ka), based on a DFT-relaxed cell (PBE, OQMD).

Peak list (12 most intense, 15° ≤ 2θ ≤ 90°, low angle first)
2theta	I_rel
26.5	65
31.8	100
37.0	96
42.7	57
43.6	25
44.2	22
44.6	61
51.0	21
62.7	34
71.4	20
74.5	25
79.6	23

Structure:
Cell: 4.2307 4.2307 16.6045 Å, 90.00 90.00 90.00°
Fractional positions:
Rb 0.0000 0.0000 0.0000
Rb 0.5000 0.5000 0.5000
Tl 0.0000 0.5000 0.2500
Tl 0.5000 0.0000 0.7500
Sb 0.0000 0.0000 0.3661
Sb 0.0000 0.0000 0.6339
Sb 0.5000 0.5000 0.1339
Sb 0.5000 0.5000 0.8661
Ir 0.0000 0.5000 0.7500
Ir 0.5000 0.0000 0.2500



ReTcIr2: simulated powder XRD pattern (Cu Ka), based on a DFT-relaxed cell (PBE, OQMD).

Peak list (12 most intense, 15° ≤ 2θ ≤ 90°, low angle first)
2theta	I_rel
37.3	13
37.8	26
41.2	38
42.8	52
43.3	100
57.1	16
67.6	18
76.2	10
76.5	19
82.3	21
83.2	18
84.3	15

Structure:
Cell: 2.7373 4.3821 4.8199 Å, 90.00 90.00 90.00°
Fractional positions:
Re 0.0000 0.0000 0.0000
Tc 0.0000 0.5000 0.6727
Ir 0.5000 0.0000 0.5069
Ir 0.5000 0.5000 0.1702



TlReIr2: simulated powder XRD pattern (Cu Ka), based on a DFT-relaxed cell (PBE, OQMD).

Peak list (4 most intense, 15° ≤ 2θ ≤ 90°, low angle first)
2theta	I_rel
39.8	100
57.6	17
72.3	35
85.9	12

Structure:
Cell: 6.4030 6.4030 6.4030 Å, 90.00 90.00 90.00°
Fractional positions:
Tl 0.0000 0.0000 0.0000
Tl 0.0000 0.5000 0.5000
Tl 0.5000 0.0000 0.5000
Tl 0.5000 0.5000 0.0000
Re 0.2500 0.2500 0.2500
Re 0.2500 0.7500 0.7500
Re 0.7500 0.2500 0.7500
Re 0.7500 0.7500 0.2500
Ir 0.0000 0.0000 0.5000
Ir 0.0000 0.5000 0.0000
Ir 0.2500 0.2500 0.7500
Ir 0.2500 0.7500 0.2500
Ir 0.5000 0.0000 0.0000
Ir 0.5000 0.5000 0.5000
Ir 0.7500 0.2500 0.2500
Ir 0.7500 0.7500 0.7500



TlRe2Ir: simulated powder XRD pattern (Cu Ka), based on a DFT-relaxed cell (PBE, OQMD).

Peak list (4 most intense, 15° ≤ 2θ ≤ 90°, low angle first)
2theta	I_rel
39.6	100
57.3	17
71.9	35
85.4	12

Structure:
Cell: 6.4305 6.4305 6.4305 Å, 90.00 90.00 90.00°
Fractional positions:
Tl 0.0000 0.0000 0.0000
Tl 0.0000 0.5000 0.5000
Tl 0.5000 0.0000 0.5000
Tl 0.5000 0.5000 0.0000
Re 0.0000 0.0000 0.5000
Re 0.0000 0.5000 0.0000
Re 0.2500 0.2500 0.7500
Re 0.2500 0.7500 0.2500
Re 0.5000 0.0000 0.0000
Re 0.5000 0.5000 0.5000
Re 0.7500 0.2500 0.2500
Re 0.7500 0.7500 0.7500
Ir 0.2500 0.2500 0.2500
Ir 0.2500 0.7500 0.7500
Ir 0.7500 0.2500 0.7500
Ir 0.7500 0.7500 0.2500



Ir6S: simulated powder XRD pattern (Cu Ka), based on a DFT-relaxed cell (PBE, OQMD).

Peak list (12 most intense, 15° ≤ 2θ ≤ 90°, low angle first)
2theta	I_rel
19.0	5
27.0	47
33.3	100
43.4	65
47.7	19
55.7	10
59.4	56
66.5	14
69.8	12
79.6	26
85.9	18
89.0	11

Structure:
Cell: 6.5985 6.5985 6.5985 Å, 90.00 90.00 90.00°
Fractional positions:
Ir 0.0000 0.0000 0.3222
Ir 0.0000 0.0000 0.6778
Ir 0.0000 0.3222 0.0000
Ir 0.0000 0.6778 0.0000
Ir 0.1778 0.5000 0.5000
Ir 0.3222 0.0000 0.0000
Ir 0.5000 0.1778 0.5000
Ir 0.5000 0.5000 0.1778
Ir 0.5000 0.5000 0.8222
Ir 0.5000 0.8222 0.5000
Ir 0.6778 0.0000 0.0000
Ir 0.8222 0.5000 0.5000
S 0.0000 0.0000 0.0000
S 0.5000 0.5000 0.5000



Ir2S3: simulated powder XRD pattern (Cu Ka), based on a DFT-relaxed cell (PBE, OQMD).

Peak list (12 most intense, 15° ≤ 2θ ≤ 90°, low angle first)
2theta	I_rel
28.9	21
29.4	100
41.7	20
42.4	9
47.5	6
47.8	7
51.5	17
52.1	10
52.3	24
52.5	10
61.0	8
68.7	6

Structure:
Cell: 8.5280 6.0576 6.1849 Å, 90.00 90.00 90.00°
Fractional positions:
Ir 0.1084 0.2489 0.0297
Ir 0.1084 0.7511 0.5297
Ir 0.3916 0.2511 0.5297
Ir 0.3916 0.7489 0.0297
Ir 0.6084 0.2511 0.9703
Ir 0.6084 0.7489 0.4703
Ir 0.8916 0.2489 0.4703
Ir 0.8916 0.7511 0.9703
S 0.0000 0.4559 0.7500
S 0.0000 0.5441 0.2500
S 0.1499 0.1096 0.3914
S 0.1499 0.8904 0.8914
S 0.3501 0.3904 0.8914
S 0.3501 0.6096 0.3914
S 0.5000 0.0441 0.2500
S 0.5000 0.9559 0.7500
S 0.6499 0.3904 0.6086
S 0.6499 0.6096 0.1086
S 0.8501 0.1096 0.1086
S 0.8501 0.8904 0.6086



Ir2S3: simulated powder XRD pattern (Cu Ka), based on a DFT-relaxed cell (PBE, OQMD).

Peak list (12 most intense, 15° ≤ 2θ ≤ 90°, low angle first)
2theta	I_rel
16.0	52
18.5	21
29.1	100
29.5	41
33.4	45
42.0	22
44.1	88
51.7	41
51.9	21
61.2	16
62.3	16
70.2	22

Structure:
Cell: 6.1275 6.1275 11.0591 Å, 90.00 90.00 120.00°
Fractional positions:
Ir 0.0000 0.0000 0.0000
Ir 0.0000 0.0000 0.5000
Ir 0.3333 0.6667 0.0267
Ir 0.3333 0.6667 0.4733
Ir 0.3333 0.6667 0.7500
Ir 0.6667 0.3333 0.2500
Ir 0.6667 0.3333 0.5267
Ir 0.6667 0.3333 0.9733
S 0.0357 0.3588 0.6084
S 0.0357 0.6769 0.8916
S 0.3231 0.3588 0.8916
S 0.3231 0.9643 0.6084
S 0.3588 0.0357 0.1084
S 0.3588 0.3231 0.3916
S 0.6412 0.6769 0.6084
S 0.6412 0.9643 0.8916
S 0.6769 0.0357 0.3916
S 0.6769 0.6412 0.1084
S 0.9643 0.3231 0.1084
S 0.9643 0.6412 0.3916



IrS: simulated powder XRD pattern (Cu Ka), based on a DFT-relaxed cell (PBE, OQMD).

Peak list (8 most intense, 15° ≤ 2θ ≤ 90°, low angle first)
2theta	I_rel
29.3	100
34.0	34
48.9	49
58.0	45
60.9	9
71.6	8
79.2	18
81.7	12

Structure:
Cell: 5.2729 5.2729 5.2729 Å, 90.00 90.00 90.00°
Fractional positions:
Ir 0.0000 0.0000 0.0000
Ir 0.0000 0.5000 0.5000
Ir 0.5000 0.0000 0.5000
Ir 0.5000 0.5000 0.0000
S 0.2500 0.2500 0.7500
S 0.2500 0.7500 0.2500
S 0.7500 0.2500 0.2500
S 0.7500 0.7500 0.7500



Ir2SeS3: simulated powder XRD pattern (Cu Ka), based on a DFT-relaxed cell (PBE, OQMD).

Peak list (12 most intense, 15° ≤ 2θ ≤ 90°, low angle first)
2theta	I_rel
17.0	100
30.7	54
30.8	38
32.7	22
32.9	58
33.3	34
36.2	22
37.2	48
37.7	48
42.9	28
43.6	47
50.5	28

Structure:
Cell: 5.7295 3.4215 10.7501 Å, 90.00 103.85 90.00°
Fractional positions:
Ir 0.0000 0.0000 0.0000
Ir 0.4101 0.5000 0.9854
Se 0.7309 0.0000 0.1564
S 0.0299 0.5000 0.8532
S 0.1658 0.5000 0.1479
S 0.5778 0.0000 0.8880